1.
Diffraction record for LuFeB4. The powder XRD pattern is computed, not measured: it uses a structure optimized by DFT (PBE) and Cu Ka.
No peak broadening, texture or thermal motion is included.

Structure:
abc: 5.828 11.277 3.322
angles: 90.00 90.00 90.00
Space group Pbam (No. 55)
Unique sites:
Lu1 0.128 0.150 0.000 (multiplicity 4)
Fe1 0.135 0.411 0.000 (multiplicity 4)
B1 0.023 0.691 0.500 (multiplicity 4)
B2 0.112 0.546 0.500 (multiplicity 4)
B3 0.137 0.968 0.500 (multiplicity 4)
B4 0.215 0.815 0.500 (multiplicity 4)

Principal peaks in the range 2θ from 10° to 80°, low angle first:
(1 2 0), 21.93°, intensity 28
(0 0 1), 26.83°, intensity 65
(1 3 0), 28.25°, intensity 32
(0 4 0), 31.72°, intensity 88
(1 2 1), 34.92°, intensity 23
(1 3 1), 39.36°, intensity 33
(0 4 1), 42.02°, intensity 100
(0 4 2), 65.17°, intensity 22

2.
Diffraction record for Mg6FeB. The powder XRD pattern is computed, not measured: it uses a structure optimized by DFT (PBE) and Cu Ka.
No peak broadening, texture or thermal motion is included.

Structure:
abc: 3.208 9.449 10.152
angles: 90.00 90.00 90.00
Space group Amm2 (No. 38)
Unique sites:
Mg1 0.000 0.000 0.000 (multiplicity 2)
Mg2 0.000 0.168 0.276 (multiplicity 4)
Mg3 0.500 0.000 0.735 (multiplicity 2)
Mg4 0.500 0.224 0.529 (multiplicity 4)
Fe1 0.000 0.000 0.492 (multiplicity 2)
B1 0.500 0.000 0.394 (multiplicity 2)

Principal peaks in the range 2θ from 10° to 80°, low angle first:
(0 1 1), 12.80°, intensity 77
(0 0 2), 17.47°, intensity 23
(1 1 1), 30.72°, intensity 16
(0 0 4), 35.36°, intensity 33
(0 4 0), 38.10°, intensity 14
(1 2 2), 38.27°, intensity 100
(0 3 3), 39.07°, intensity 15
(0 4 2), 42.20°, intensity 18

3.
Diffraction record for Mg6FeB. The powder XRD pattern is computed, not measured: it uses a structure optimized by DFT (PBE) and Cu Ka.
No peak broadening, texture or thermal motion is included.

Structure:
abc: 4.540 6.208 10.376
angles: 90.00 90.00 90.00
Space group Amm2 (No. 38)
Unique sites:
Mg1 0.000 0.000 0.000 (multiplicity 2)
Mg2 0.000 0.000 0.497 (multiplicity 2)
Mg3 0.000 0.247 0.231 (multiplicity 4)
Mg4 0.500 0.249 0.910 (multiplicity 4)
Fe1 0.500 0.000 0.655 (multiplicity 2)
B1 0.500 0.000 0.137 (multiplicity 2)

Principal peaks in the range 2θ from 10° to 80°, low angle first:
(0 1 1), 16.64°, intensity 29
(1 1 1), 25.78°, intensity 23
(0 2 2), 33.65°, intensity 27
(1 2 2), 39.21°, intensity 100
(2 0 0), 39.70°, intensity 33
(1 0 4), 40.03°, intensity 47
(0 2 6), 61.37°, intensity 15
(2 2 6), 75.61°, intensity 16